LaSc2GaH: computed powder XRD pattern (Cu Kα (λ = 1.5418 Å)), based on a cell relaxed with GGA-PBE.
Peak positions follow from Bragg's law for the DFT cell and can differ from measured ones.

The 10 most intense peaks (2θ from 15° to 90°), low angle first:
- 2θ = 19.33°, rel. 15
- 2θ = 27.23°, rel. 14
- 2θ = 33.61°, rel. 100
- 2θ = 38.88°, rel. 34
- 2θ = 39.23°, rel. 16
- 2θ = 56.16°, rel. 11
- 2θ = 56.43°, rel. 22
- 2θ = 67.06°, rel. 25
- 2θ = 67.54°, rel. 12
- 2θ = 70.64°, rel. 11

Cell and atoms:
```
data_LaSc2GaH
_space_group_name_H-M_alt 'P 4/m m m'
_space_group_IT_number 123
_space_group_name_Hall '-P 4 2'
_cell_length_a 4.6322
_cell_length_b 4.6322
_cell_length_c 4.5928
_cell_angle_alpha 90.00
_cell_angle_beta 90.00
_cell_angle_gamma 90.00
loop_
_atom_site_label
_atom_site_fract_x
_atom_site_fract_y
_atom_site_fract_z
La1 0.0000 0.0000 0.0000
Sc1 0.0000 0.5000 0.5000
Ga1 0.5000 0.5000 0.0000
H1 0.0000 0.0000 0.5000
```

=====

Na5B6C4: computed powder XRD pattern (Cu Kα (λ = 1.5418 Å)), based on a cell relaxed with GGA-PBE.
Peak positions follow from Bragg's law for the DFT cell and can differ from measured ones.

The 10 most intense peaks (2θ from 15° to 90°), low angle first:
- 2θ = 36.23°, rel. 18
- 2θ = 42.23°, rel. 100
- 2θ = 42.65°, rel. 25
- 2θ = 57.20°, rel. 6
- 2θ = 65.10°, rel. 6
- 2θ = 65.22°, rel. 11
- 2θ = 77.80°, rel. 12
- 2θ = 80.73°, rel. 7
- 2θ = 80.99°, rel. 6
- 2θ = 81.11°, rel. 11

Cell and atoms:
```
data_Na5B6C4
_space_group_name_H-M_alt 'C 1 2/c 1'
_space_group_IT_number 15
_space_group_name_Hall '-C 2yc'
_cell_length_a 14.3293
_cell_length_b 4.9524
_cell_length_c 8.9476
_cell_angle_alpha 90.00
_cell_angle_beta 108.63
_cell_angle_gamma 90.00
loop_
_atom_site_label
_atom_site_fract_x
_atom_site_fract_y
_atom_site_fract_z
Na1 0.0500 0.2491 0.9999
Na2 0.1493 0.2504 0.4982
Na3 0.2500 0.2500 0.0000
B1 0.0000 0.0663 0.2500
B2 0.0000 0.4179 0.2500
B3 0.1058 0.4138 0.7507
B4 0.1999 0.0842 0.2503
C1 0.1014 0.0830 0.7509
C2 0.2030 0.4210 0.2508
```

=====

Y7Tm2: computed powder XRD pattern (Cu Kα (λ = 1.5418 Å)), based on a cell relaxed with GGA-PBE.
Peak positions follow from Bragg's law for the DFT cell and can differ from measured ones.

The 10 most intense peaks (2θ from 15° to 90°), low angle first:
- 2θ = 19.52°, rel. 3
- 2θ = 30.81°, rel. 100
- 2θ = 35.72°, rel. 51
- 2θ = 51.41°, rel. 35
- 2θ = 61.14°, rel. 41
- 2θ = 64.18°, rel. 12
- 2θ = 75.67°, rel. 5
- 2θ = 83.85°, rel. 8
- 2θ = 83.94°, rel. 8
- 2θ = 86.60°, rel. 16

Cell and atoms:
```
data_Y7Tm2
_space_group_name_H-M_alt 'P -3 1 m'
_space_group_IT_number 162
_space_group_name_Hall '-P 3 2'
_cell_length_a 6.1538
_cell_length_b 6.1538
_cell_length_c 8.7157
_cell_angle_alpha 90.00
_cell_angle_beta 90.00
_cell_angle_gamma 120.00
loop_
_atom_site_label
_atom_site_fract_x
_atom_site_fract_y
_atom_site_fract_z
Y1 0.0000 0.0000 0.0000
Y2 0.0000 0.3343 0.6684
Tm1 0.3333 0.6667 0.0000
```